The following is a calculated XRD peak list of MgTi2Pb4WO12. It was derived from a structure optimized by DFT (PBE+U), using CuKα.

Cell and atoms:
a b c (Å): 5.6609 5.6609 16.1266
angles (deg): 90.00 90.00 90.00
Space group I4/mmm (No. 139)
Inequivalent atoms, fractional coordinates:
Mg (0.0000, 0.0000, 0.0000) x2
Ti (0.0000, 0.0000, 0.2430) x4
Pb (0.0000, 0.5000, 0.1278) x8
W (0.0000, 0.0000, 0.5000) x2
O (0.0000, 0.0000, 0.1298) x4
O (0.0000, 0.0000, 0.3771) x4
O (0.2420, 0.2420, 0.5000) x8
O (0.2500, 0.2500, 0.2500) x8

Top 8 peaks for 5° ≤ 2θ ≤ 70°, by intensity:
31.49 deg, intensity 100, (1 1 4); 31.61 deg, intensity 50, (2 0 0); 56.22 deg, intensity 40, (3 1 4); 45.31 deg, intensity 29, (2 2 0); 38.88 deg, intensity 26, (2 0 4); 22.21 deg, intensity 20, (1 1 0); 56.00 deg, intensity 20, (2 0 8); 65.75 deg, intensity 18, (2 2 8)